No. 1
BaCu2Se3: simulated powder XRD pattern (λ = 1.5418 Å (Cu Kα)), based on DFT lattice parameters and positions (GGA-PBE).
Peak positions follow from Bragg's law for the DFT cell and can differ from measured ones.

Crystal structure
Cell lengths 4.693, 4.783, 13.152 Å; angles 90.00, 95.79, 90.00 degrees
Sites, in units of the cell vectors:
Ba (0.153, 0.250, 0.292)
Ba (0.847, 0.750, 0.708)
Cu (0.163, 0.250, 0.912)
Cu (0.267, 0.250, 0.570)
Cu (0.733, 0.750, 0.430)
Cu (0.837, 0.750, 0.088)
Se (0.135, 0.750, 0.954)
Se (0.251, 0.750, 0.500)
Se (0.382, 0.250, 0.758)
Se (0.618, 0.750, 0.242)
Se (0.749, 0.250, 0.500)
Se (0.865, 0.250, 0.046)

Peak list (6 most intense, 5° ≤ 2θ ≤ 70°, low angle first)
2θ = 26.68°, d = 3.341 Å, rel. 33
2θ = 29.40°, d = 3.038 Å, rel. 49
2θ = 30.92°, d = 2.892 Å, rel. 61
2θ = 33.18°, d = 2.700 Å, rel. 39
2θ = 37.63°, d = 2.391 Å, rel. 100
2θ = 38.52°, d = 2.337 Å, rel. 34

No. 2
Ba2TiCuSe5: simulated powder XRD pattern (λ = 1.5418 Å (Cu Kα)), based on DFT lattice parameters and positions (GGA-PBE).
Peak positions follow from Bragg's law for the DFT cell and can differ from measured ones.

Crystal structure
Cell lengths 9.721, 9.721, 12.889 Å; angles 90.00, 90.00, 155.95 degrees
Sites, in units of the cell vectors:
Ba (0.122, 0.878, 0.500)
Ba (0.124, 0.876, 0.120)
Ba (0.876, 0.124, 0.620)
Ba (0.878, 0.122, 0.000)
Ti (0.200, 0.800, 0.820)
Ti (0.800, 0.200, 0.320)
Cu (0.424, 0.576, 0.240)
Cu (0.576, 0.424, 0.740)
Se (0.066, 0.934, 0.842)
Se (0.294, 0.706, 0.453)
Se (0.300, 0.700, 0.182)
Se (0.336, 0.664, 0.812)
Se (0.495, 0.505, 0.088)
Se (0.505, 0.495, 0.588)
Se (0.664, 0.336, 0.312)
Se (0.700, 0.300, 0.682)
Se (0.706, 0.294, 0.953)
Se (0.934, 0.066, 0.342)

Peak list (6 most intense, 5° ≤ 2θ ≤ 70°, low angle first)
2θ = 29.02°, d = 3.077 Å, rel. 32
2θ = 29.62°, d = 3.016 Å, rel. 37
2θ = 30.70°, d = 2.912 Å, rel. 100
2θ = 32.29°, d = 2.772 Å, rel. 39
2θ = 35.22°, d = 2.548 Å, rel. 37
2θ = 44.75°, d = 2.025 Å, rel. 28

No. 3
BaUCu2Se4: simulated powder XRD pattern (λ = 1.5418 Å (Cu Kα)), based on DFT lattice parameters and positions (GGA-PBE).
Peak positions follow from Bragg's law for the DFT cell and can differ from measured ones.

Crystal structure
Cell lengths 6.716, 7.712, 8.534 Å; angles 90.00, 90.00, 90.00 degrees
Sites, in units of the cell vectors:
Ba (0.000, 0.000, 0.000)
Ba (0.500, 0.500, 0.500)
U (0.000, 0.000, 0.500)
U (0.500, 0.500, 0.000)
Cu (0.000, 0.500, 0.148)
Cu (0.000, 0.500, 0.852)
Cu (0.500, 0.000, 0.352)
Cu (0.500, 0.000, 0.648)
Se (0.242, 0.195, 0.307)
Se (0.242, 0.805, 0.693)
Se (0.258, 0.305, 0.807)
Se (0.258, 0.695, 0.193)
Se (0.742, 0.305, 0.193)
Se (0.742, 0.695, 0.807)
Se (0.758, 0.195, 0.693)
Se (0.758, 0.805, 0.307)

Peak list (6 most intense, 5° ≤ 2θ ≤ 70°, low angle first)
2θ = 15.49°, d = 5.722 Å, rel. 44
2θ = 27.33°, d = 3.263 Å, rel. 100
2θ = 31.26°, d = 2.861 Å, rel. 47
2θ = 33.97°, d = 2.639 Å, rel. 46
2θ = 35.45°, d = 2.532 Å, rel. 72
2θ = 46.17°, d = 1.966 Å, rel. 39

No. 4
BaYCu3Se4: simulated powder XRD pattern (λ = 1.5418 Å (Cu Kα)), based on DFT lattice parameters and positions (GGA-PBE).
Peak positions follow from Bragg's law for the DFT cell and can differ from measured ones.

Crystal structure
Cell lengths 6.461, 6.461, 6.461 Å; angles 90.00, 90.00, 90.00 degrees
Sites, in units of the cell vectors:
Ba (0.000, 0.000, 0.000)
Y (0.500, 0.500, 0.500)
Cu (0.000, 0.500, 0.500)
Cu (0.500, 0.000, 0.500)
Cu (0.500, 0.500, 0.000)
Se (0.268, 0.268, 0.732)
Se (0.268, 0.732, 0.268)
Se (0.732, 0.268, 0.268)
Se (0.732, 0.732, 0.732)

Peak list (6 most intense, 5° ≤ 2θ ≤ 70°, low angle first)
2θ = 19.43°, d = 4.568 Å, rel. 29
2θ = 23.86°, d = 3.730 Å, rel. 76
2θ = 33.99°, d = 2.638 Å, rel. 15
2θ = 39.45°, d = 2.284 Å, rel. 100
2θ = 46.63°, d = 1.948 Å, rel. 34
2θ = 57.02°, d = 1.615 Å, rel. 16

No. 5
BaCu3Si: simulated powder XRD pattern (λ = 1.5418 Å (Cu Kα)), based on DFT lattice parameters and positions (GGA-PBE).
Peak positions follow from Bragg's law for the DFT cell and can differ from measured ones.

Crystal structure
Cell lengths 6.911, 6.911, 4.945 Å; angles 91.66, 91.66, 53.99 degrees
Sites, in units of the cell vectors:
Ba (0.000, 0.000, 0.000)
Ba (0.709, 0.709, 0.977)
Cu (0.072, 0.655, 0.510)
Cu (0.280, 0.280, 0.211)
Cu (0.344, 0.909, 0.478)
Cu (0.432, 0.432, 0.887)
Cu (0.655, 0.072, 0.510)
Cu (0.909, 0.344, 0.478)
Si (0.251, 0.251, 0.725)
Si (0.497, 0.497, 0.381)

Peak list (6 most intense, 5° ≤ 2θ ≤ 70°, low angle first)
2θ = 31.31°, d = 2.857 Å, rel. 15
2θ = 32.14°, d = 2.785 Å, rel. 38
2θ = 33.83°, d = 2.650 Å, rel. 100
2θ = 36.35°, d = 2.471 Å, rel. 19
2θ = 39.66°, d = 2.273 Å, rel. 18
2θ = 41.09°, d = 2.197 Å, rel. 38

No. 6
BaCu4Si2: simulated powder XRD pattern (λ = 1.5418 Å (Cu Kα)), based on DFT lattice parameters and positions (GGA-PBE).
Peak positions follow from Bragg's law for the DFT cell and can differ from measured ones.

Crystal structure
Cell lengths 4.218, 13.859, 4.288 Å; angles 90.00, 90.00, 90.00 degrees
Sites, in units of the cell vectors:
Ba (0.000, 0.000, 0.000)
Ba (0.500, 0.500, 0.000)
Cu (0.000, 0.198, 0.500)
Cu (0.000, 0.306, 0.000)
Cu (0.000, 0.694, 0.000)
Cu (0.000, 0.802, 0.500)
Cu (0.500, 0.194, 0.000)
Cu (0.500, 0.302, 0.500)
Cu (0.500, 0.698, 0.500)
Cu (0.500, 0.806, 0.000)
Si (0.000, 0.381, 0.500)
Si (0.000, 0.619, 0.500)
Si (0.500, 0.119, 0.500)
Si (0.500, 0.881, 0.500)

Peak list (6 most intense, 5° ≤ 2θ ≤ 70°, low angle first)
2θ = 24.41°, d = 3.646 Å, rel. 21
2θ = 28.66°, d = 3.115 Å, rel. 24
2θ = 35.63°, d = 2.520 Å, rel. 100
2θ = 42.14°, d = 2.144 Å, rel. 30
2θ = 42.89°, d = 2.109 Å, rel. 29
2θ = 55.58°, d = 1.654 Å, rel. 30

No. 7
Ba2Cu5Si4: simulated powder XRD pattern (λ = 1.5418 Å (Cu Kα)), based on DFT lattice parameters and positions (GGA-PBE).
Peak positions follow from Bragg's law for the DFT cell and can differ from measured ones.

Crystal structure
Cell lengths 6.026, 6.026, 7.868 Å; angles 117.17, 117.17, 68.77 degrees
Sites, in units of the cell vectors:
Ba (0.069, 0.069, 0.331)
Ba (0.931, 0.931, 0.669)
Cu (0.150, 0.535, 0.935)
Cu (0.465, 0.850, 0.065)
Cu (0.500, 0.500, 0.500)
Cu (0.535, 0.150, 0.935)
Cu (0.850, 0.465, 0.065)
Si (0.289, 0.289, 0.154)
Si (0.436, 0.436, 0.764)
Si (0.564, 0.564, 0.236)
Si (0.711, 0.711, 0.846)

Peak list (6 most intense, 5° ≤ 2θ ≤ 70°, low angle first)
2θ = 26.52°, d = 3.361 Å, rel. 71
2θ = 29.58°, d = 3.020 Å, rel. 86
2θ = 30.29°, d = 2.951 Å, rel. 48
2θ = 31.28°, d = 2.859 Å, rel. 100
2θ = 31.45°, d = 2.845 Å, rel. 58
2θ = 34.10°, d = 2.629 Å, rel. 47

No. 8
BaCu4Si2: simulated powder XRD pattern (λ = 1.5418 Å (Cu Kα)), based on DFT lattice parameters and positions (GGA-PBE).
Peak positions follow from Bragg's law for the DFT cell and can differ from measured ones.

Crystal structure
Cell lengths 6.732, 6.732, 6.732 Å; angles 106.70, 106.70, 115.17 degrees
Sites, in units of the cell vectors:
Ba (0.250, 0.250, 0.000)
Ba (0.750, 0.750, 0.000)
Cu (0.023, 0.523, 0.215)
Cu (0.192, 0.977, 0.500)
Cu (0.308, 0.808, 0.785)
Cu (0.477, 0.692, 0.500)
Cu (0.523, 0.308, 0.500)
Cu (0.692, 0.192, 0.215)
Cu (0.808, 0.023, 0.500)
Cu (0.977, 0.477, 0.785)
Si (0.148, 0.352, 0.500)
Si (0.352, 0.852, 0.204)
Si (0.648, 0.148, 0.796)
Si (0.852, 0.648, 0.500)

Peak list (6 most intense, 5° ≤ 2θ ≤ 70°, low angle first)
2θ = 24.67°, d = 3.608 Å, rel. 27
2θ = 29.32°, d = 3.046 Å, rel. 16
2θ = 33.37°, d = 2.685 Å, rel. 16
2θ = 35.32°, d = 2.541 Å, rel. 100
2θ = 43.56°, d = 2.078 Å, rel. 33
2θ = 45.37°, d = 1.999 Å, rel. 61